The following is a computed PXRD pattern of Ba2Ni2ClF7. It was derived from a DFT-relaxed cell (GGA+U, the Materials Project), using copper Kα.
Lines closer than 0.1° are merged.

Main lines, low angle first (2θ = 5–70°):
2θ (°)  d (Å)  intensity
23.99  3.709  27.6
25.79  3.454  100.0
28.50  3.132  58.6
39.58  2.277  26.3
41.16  2.193  35.4
51.49  1.775  27.0

Cell and atoms:
```
Ba2Ni2ClF7
1.0
7.7477 0.0000 0.0000
0.0000 5.8485 0.0000
-2.5805 0.0000 8.5599
Ba Ni Cl F
4 4 2 14
direct
0.1699 0.2500 0.4124
0.2045 0.2500 0.9280
0.7955 0.7500 0.0720
0.8301 0.7500 0.5876
0.3184 0.7500 0.1747
0.3246 0.7500 0.7337
0.6754 0.2500 0.2663
0.6816 0.2500 0.8253
0.3829 0.7500 0.4703
0.6171 0.2500 0.5297
0.1320 0.5097 0.1602
0.1320 0.9903 0.1602
0.1386 0.5051 0.6551
0.1386 0.9949 0.6551
0.2511 0.7500 0.9355
0.4972 0.0008 0.1738
0.4972 0.4992 0.1738
0.5028 0.5008 0.8262
0.5028 0.9992 0.8262
0.7489 0.2500 0.0645
0.8614 0.0051 0.3449
0.8614 0.4949 0.3449
0.8680 0.0097 0.8398
0.8680 0.4903 0.8398
```

***

The following is a computed PXRD pattern of SrV6O11. It was derived from a DFT-relaxed cell (GGA+U, the Materials Project), using copper Kα.
Lines closer than 0.1° are merged.

Main lines, low angle first (2θ = 5–70°):
2θ (°)  d (Å)  intensity
30.24  2.955  48.3
31.91  2.805  95.4
33.12  2.704  100.0
37.62  2.391  57.3
54.50  1.684  72.8
54.77  1.676  57.0

Cell and atoms:
```
SrV6O11
1.0
5.9108 0.0000 0.0000
-2.9554 5.1189 0.0000
0.0000 0.0000 13.4128
Sr V O
2 12 22
direct
0.3333 0.6667 0.2500
0.6667 0.3333 0.7500
0.0000 0.0000 0.1458
0.0000 0.0000 0.3542
0.0000 0.0000 0.6458
0.0000 0.0000 0.8542
0.0000 0.5000 0.0000
0.0000 0.5000 0.5000
0.3333 0.6667 0.7500
0.5000 0.0000 0.0000
0.5000 0.0000 0.5000
0.5000 0.5000 0.0000
0.5000 0.5000 0.5000
0.6667 0.3333 0.2500
0.1482 0.2965 0.7500
0.1482 0.8518 0.7500
0.1758 0.3516 0.0793
0.1758 0.3516 0.4207
0.1758 0.8242 0.0793
0.1758 0.8242 0.4207
0.2965 0.1482 0.2500
0.3333 0.6667 0.5847
0.3333 0.6667 0.9153
0.3516 0.1758 0.5793
0.3516 0.1758 0.9207
0.6484 0.8242 0.0793
0.6484 0.8242 0.4207
0.6667 0.3333 0.0847
0.6667 0.3333 0.4153
0.7035 0.8518 0.7500
0.8242 0.1758 0.5793
0.8242 0.1758 0.9207
0.8242 0.6484 0.5793
0.8242 0.6484 0.9207
0.8518 0.1482 0.2500
0.8518 0.7035 0.2500
```

***

The following is a computed PXRD pattern of NaFe3O5. It was derived from a DFT-relaxed cell (GGA+U, the Materials Project), using copper Kα.
Lines closer than 0.1° are merged.

Main lines, low angle first (2θ = 5–70°):
2θ (°)  d (Å)  intensity
14.91  5.943  54.9
32.81  2.730  42.4
34.36  2.610  86.2
34.68  2.587  100.0
37.35  2.407  41.3
48.68  1.871  47.6

Cell and atoms:
```
NaFe3O5
1.0
10.9189 0.0000 0.0000
0.0000 11.8850 0.0000
0.0000 0.0000 3.0314
Na Fe O
4 12 20
direct
0.0420 0.2490 0.0000
0.4580 0.7490 0.5000
0.5420 0.2510 0.5000
0.9580 0.7510 0.0000
0.0000 0.0000 0.5000
0.0000 0.5000 0.0000
0.2057 0.8824 0.0000
0.2202 0.6182 0.5000
0.2798 0.1182 0.0000
0.2943 0.3824 0.5000
0.5000 0.0000 0.5000
0.5000 0.5000 0.0000
0.7057 0.6176 0.5000
0.7202 0.8818 0.0000
0.7798 0.3818 0.5000
0.7943 0.1176 0.0000
0.0423 0.6089 0.5000
0.0892 0.8523 0.5000
0.1167 0.0430 0.0000
0.1859 0.4591 0.0000
0.2365 0.2192 0.5000
0.2635 0.7192 0.0000
0.3141 0.9591 0.5000
0.3833 0.5430 0.5000
0.4108 0.3523 0.0000
0.4577 0.1089 0.0000
0.5423 0.8911 0.0000
0.5892 0.6477 0.0000
0.6167 0.4570 0.5000
0.6859 0.0409 0.5000
0.7365 0.2808 0.0000
0.7635 0.7808 0.5000
0.8141 0.5409 0.0000
0.8833 0.9570 0.0000
0.9108 0.1477 0.5000
0.9577 0.3911 0.5000
```

***

The following is a computed PXRD pattern of Li2MnSi2O6. It was derived from a DFT-relaxed cell (GGA+U, the Materials Project), using copper Kα.
Lines closer than 0.1° are merged.

Main lines, low angle first (2θ = 5–70°):
2θ (°)  d (Å)  intensity
12.48  7.091  27.9
25.12  3.546  24.2
25.61  3.478  100.0
25.77  3.458  38.2
26.94  3.310  25.7
29.49  3.029  55.8

Cell and atoms:
```
Li2MnSi2O6
1.0
5.3775 -5.3450 0.0000
5.3775 5.3450 0.0000
-2.4575 0.0000 4.5800
Li Mn Si O
4 2 4 12
direct
0.0000 0.0000 0.0000
0.0023 0.7906 0.5456
0.2094 0.9977 0.4544
0.5648 0.4352 0.5000
0.6069 0.3931 0.0000
0.8300 0.1700 0.5000
0.0133 0.5731 0.9888
0.1737 0.4027 0.4858
0.4269 0.9867 0.0112
0.5973 0.8263 0.5142
0.0025 0.7904 0.1647
0.0425 0.2004 0.3578
0.0914 0.5616 0.7179
0.1570 0.4849 0.2226
0.2096 0.9975 0.8353
0.3889 0.3743 0.6375
0.4384 0.9086 0.2821
0.5151 0.8430 0.7774
0.5730 0.1869 0.1751
0.6257 0.6111 0.3625
0.7996 0.9575 0.6422
0.8131 0.4270 0.8249
```

***

The following is a computed PXRD pattern of LiCr2P3O12. It was derived from a DFT-relaxed cell (GGA+U, the Materials Project), using copper Kα.
Lines closer than 0.1° are merged.

Main lines, low angle first (2θ = 5–70°):
2θ (°)  d (Å)  intensity
15.46  5.732  100.0
18.34  4.838  58.5
20.49  4.335  46.3
22.22  4.001  79.6
27.86  3.202  56.0
32.74  2.735  51.5

Cell and atoms:
```
LiCr2P3O12
1.0
9.0727 -3.0368 0.0000
9.0727 3.0368 0.0000
-2.3844 0.0000 7.7436
Li Cr P O
2 4 6 24
direct
0.0838 0.9162 0.7500
0.9162 0.0838 0.2500
0.1933 0.5402 0.9078
0.4598 0.8067 0.5922
0.5402 0.1933 0.4078
0.8067 0.4598 0.0922
0.0056 0.6352 0.2748
0.3648 0.9944 0.2252
0.4537 0.5463 0.2500
0.5463 0.4537 0.7500
0.6352 0.0056 0.7748
0.9944 0.3648 0.7252
0.0807 0.5642 0.0931
0.1065 0.1489 0.1668
0.1152 0.4135 0.7355
0.1489 0.1065 0.6668
0.2121 0.5033 0.4184
0.2626 0.6713 0.0960
0.3175 0.5572 0.7679
0.3287 0.7374 0.4040
0.4135 0.1152 0.2355
0.4358 0.9193 0.4069
0.4428 0.6825 0.7321
0.4967 0.7879 0.0816
0.5033 0.2121 0.9184
0.5572 0.3175 0.2679
0.5642 0.0807 0.5931
0.5865 0.8848 0.7645
0.6713 0.2626 0.5960
0.6825 0.4428 0.2321
0.7374 0.3287 0.9040
0.7879 0.4967 0.5816
0.8511 0.8935 0.3332
0.8848 0.5865 0.2645
0.8935 0.8511 0.8332
0.9193 0.4358 0.9069
```

***

The following is a computed PXRD pattern of Ho2MnRuO7. It was derived from a DFT-relaxed cell (GGA+U, the Materials Project), using copper Kα.
Lines closer than 0.1° are merged.

Main lines, low angle first (2θ = 5–70°):
2θ (°)  d (Å)  intensity
30.43  2.938  100.0
30.57  2.925  98.4
35.36  2.538  62.6
50.85  1.795  62.6
60.41  1.532  55.6
60.63  1.527  27.6

Cell and atoms:
```
Ho2MnRuO7
1.0
-3.5762 3.5998 5.0826
3.5762 -3.5998 5.0826
3.5762 3.5998 -5.0826
Ho Mn Ru O
4 2 2 14
direct
0.0000 0.0000 0.0000
0.5000 0.0000 0.0000
0.5000 0.0000 0.5000
0.5000 0.5000 0.5000
0.0000 0.0000 0.5000
0.0000 0.5000 0.0000
0.0000 0.5000 0.5000
0.5000 0.5000 0.0000
0.0818 0.8318 0.2500
0.0847 0.4150 0.2475
0.0847 0.8373 0.6697
0.3324 0.1627 0.7475
0.3324 0.5850 0.1697
0.3397 0.5897 0.7500
0.3743 0.1243 0.2500
0.6257 0.8757 0.7500
0.6603 0.4103 0.2500
0.6676 0.4150 0.8303
0.6676 0.8373 0.2525
0.9153 0.1627 0.3303
0.9153 0.5850 0.7525
0.9182 0.1682 0.7500
```

***

The following is a computed PXRD pattern of Li2MnF4. It was derived from a DFT-relaxed cell (GGA+U, the Materials Project), using copper Kα.
Lines closer than 0.1° are merged.

Main lines, low angle first (2θ = 5–70°):
2θ (°)  d (Å)  intensity
20.15  4.408  74.2
26.95  3.308  53.8
28.64  3.117  16.4
33.88  2.646  100.0
49.71  1.834  20.4
55.56  1.654  36.6

Cell and atoms:
```
Li2MnF4
1.0
4.4075 0.0000 0.0000
0.0000 4.4075 0.0000
0.0000 0.0000 5.0065
Li Mn F
2 1 4
direct
0.0000 0.5000 0.0000
0.5000 0.0000 0.0000
0.0000 0.0000 0.5000
0.2366 0.2366 0.7794
0.2366 0.7634 0.2206
0.7634 0.2366 0.2206
0.7634 0.7634 0.7794
```

***

What did the first record say?
The following is a computed PXRD pattern of Ba2Ni2ClF7. It was derived from a DFT-relaxed cell (GGA+U, the Materials Project), using copper Kα.
Lines closer than 0.1° are merged.

Main lines, low angle first (2θ = 5–70°):
2θ (°)  d (Å)  intensity
23.99  3.709  27.6
25.79  3.454  100.0
28.50  3.132  58.6
39.58  2.277  26.3
41.16  2.193  35.4
51.49  1.775  27.0

Cell and atoms:
```
Ba2Ni2ClF7
1.0
7.7477 0.0000 0.0000
0.0000 5.8485 0.0000
-2.5805 0.0000 8.5599
Ba Ni Cl F
4 4 2 14
direct
0.1699 0.2500 0.4124
0.2045 0.2500 0.9280
0.7955 0.7500 0.0720
0.8301 0.7500 0.5876
0.3184 0.7500 0.1747
0.3246 0.7500 0.7337
0.6754 0.2500 0.2663
0.6816 0.2500 0.8253
0.3829 0.7500 0.4703
0.6171 0.2500 0.5297
0.1320 0.5097 0.1602
0.1320 0.9903 0.1602
0.1386 0.5051 0.6551
0.1386 0.9949 0.6551
0.2511 0.7500 0.9355
0.4972 0.0008 0.1738
0.4972 0.4992 0.1738
0.5028 0.5008 0.8262
0.5028 0.9992 0.8262
0.7489 0.2500 0.0645
0.8614 0.0051 0.3449
0.8614 0.4949 0.3449
0.8680 0.0097 0.8398
0.8680 0.4903 0.8398
```